Li4Ti2Nb3Cu3O16: calculated powder diffraction line list (CuKα), based on a cell relaxed with GGA-PBE.

The 10 most intense peaks (10 to 80 degrees two-theta), sorted by position:
5.018 Å, 2θ = 17.68°, I 100; 4.919 Å, 2θ = 18.03°, I 38; 4.726 Å, 2θ = 18.78°, I 32; 4.576 Å, 2θ = 19.40°, I 36; 3.701 Å, 2θ = 24.05°, I 28; 2.561 Å, 2θ = 35.03°, I 26; 2.547 Å, 2θ = 35.23°, I 29; 2.511 Å, 2θ = 35.77°, I 38; 2.105 Å, 2θ = 42.97°, I 27; 1.540 Å, 2θ = 60.06°, I 26

Cell and atoms:
a = 6.1812 Å, b = 6.1812 Å, c = 10.0708 Å
α = 94.18°, β = 94.18°, γ = 58.07°
Atoms (fractional coordinates):
Li: 0.0000 0.0000 0.0000
Li: 0.0079 0.0079 0.5208
Li: 0.3341 0.3341 0.4386
Li: 0.6715 0.6715 0.9260
Ti: 0.3752 0.3752 0.9902
Ti: 0.6891 0.6891 0.5369
Nb: 0.1855 0.1855 0.7523
Nb: 0.3420 0.8398 0.2492
Nb: 0.8398 0.3420 0.2492
Cu: 0.1827 0.6725 0.7279
Cu: 0.6725 0.1827 0.7279
Cu: 0.8377 0.8377 0.1845
O: 0.0134 0.0134 0.8141
O: 0.0399 0.4673 0.8840
O: 0.1541 0.1541 0.1416
O: 0.1949 0.6715 0.1020
O: 0.3366 0.3366 0.6392
O: 0.3698 0.8626 0.6181
O: 0.4673 0.0399 0.8840
O: 0.4885 0.9551 0.3847
O: 0.4894 0.4894 0.8660
O: 0.5062 0.5062 0.3470
O: 0.6595 0.6595 0.1372
O: 0.6715 0.1949 0.1020
O: 0.8488 0.8488 0.6106
O: 0.8626 0.3698 0.6181
O: 0.9551 0.4885 0.3847
O: 0.9951 0.9951 0.3309